Diffraction record for KHoPtO3. The powder X-ray diffraction pattern is simulated, not measured: it uses a PBE-relaxed structure and Cu Ka.
Neutral-atom scattering factors, no anomalous dispersion.

Principal peaks in the range 10 to 90 degrees two-theta, in order of falling intensity:
hkl	2θ/deg	d (Å)	I/Imax
1 0 -1	14.3	6.205	100
1 1 1	32.6	2.745	29
0 1 2	32.4	2.762	21
2 0 -2	28.8	3.102	20
2 1 0	38.9	2.317	18
1 1 -3	38.3	2.348	14
1 0 3	34.0	2.636	11
3 1 -1	49.2	1.851	8
1 0 -3	27.0	3.297	8
2 1 -4	48.5	1.878	7

```
KHoPtO3
1.0
6.6789 0.0000 0.0000
0.0000 3.3444 0.0000
-2.7764 0.0000 9.7973
K Ho Pt O
2 2 2 6
direct
0.2374 0.2500 0.2363
0.7626 0.7500 0.7637
0.1751 0.7500 0.6240
0.8249 0.2500 0.3760
0.4039 0.2500 0.9105
0.5961 0.7500 0.0895
0.0591 0.7500 0.3980
0.2093 0.7500 0.8582
0.4101 0.2500 0.6995
0.5899 0.7500 0.3005
0.7907 0.2500 0.1418
0.9409 0.2500 0.6020
```